The following is a calculated X-ray powder pattern of NdSm5Sn4. It was derived from a crystal structure in Alexandria, relaxed with PBE, using Cu Kα.
Intensities are scaled so that the largest is 100.

Top 10 peaks for 10° ≤ 2θ ≤ 90°, low angle first:
23.11°, d 3.849, I = 25
32.84°, d 2.727, I = 54
32.97°, d 2.716, I = 55
33.86°, d 2.648, I = 100
33.97°, d 2.639, I = 99
47.23°, d 1.925, I = 39
50.18°, d 1.818, I = 17
59.21°, d 1.561, I = 19
59.47°, d 1.554, I = 58
61.38°, d 1.510, I = 27

Structure:
abc: 8.6203 8.6203 7.2722
angles: 90.26 90.26 36.74
Fractional coordinates of all 10 atoms:
Nd: 0.0000 0.0000 0.0000
Sm: 0.0000 0.0000 0.5000
Sm: 0.3342 0.3342 0.0070
Sm: 0.3336 0.3336 0.4915
Sm: 0.6664 0.6664 0.5085
Sm: 0.6658 0.6658 0.9930
Sn: 0.1766 0.1766 0.7493
Sn: 0.4913 0.4913 0.7474
Sn: 0.5087 0.5087 0.2526
Sn: 0.8234 0.8234 0.2507

The following is a calculated X-ray powder pattern of ScSnN3. It was derived from a crystal structure in Alexandria, relaxed with PBE, using Cu Kα.
Intensities are scaled so that the largest is 100.

Top 10 peaks for 10° ≤ 2θ ≤ 90°, low angle first:
21.97°, d 4.046, I = 42
31.26°, d 2.861, I = 100
44.80°, d 2.023, I = 33
50.44°, d 1.809, I = 19
55.64°, d 1.652, I = 40
65.22°, d 1.430, I = 20
69.73°, d 1.349, I = 10
74.10°, d 1.279, I = 18
82.61°, d 1.168, I = 7
86.79°, d 1.122, I = 5

Structure:
abc: 4.0460 4.0460 4.0460
angles: 90.00 90.00 90.00
Fractional coordinates of all 5 atoms:
Sc: 0.0000 0.0000 0.0000
Sn: 0.5000 0.5000 0.5000
N: 0.0000 0.5000 0.5000
N: 0.5000 0.0000 0.5000
N: 0.5000 0.5000 0.0000

> Number 1 is which compound?

NdSm5Sn4